(1)
Structure and simulated powder XRD pattern of Li9Mn2Co5O16 (a PBE+U-relaxed structure; Cu Kα, 1.54184 Å).

Structural model:
```
Li9Mn2Co5O16
1.0
5.8749 0.0000 0.0000
-0.3316 5.8997 0.0000
-0.0957 -0.1087 8.1399
Li Mn Co O
9 2 5 16
Direct
0.0000 0.0000 0.0000
0.9997 0.4907 0.0027
0.2427 0.7444 0.2627
0.2441 0.2447 0.2609
0.2462 0.2441 0.7506
0.4894 0.0020 0.5100
0.4907 0.4895 0.5121
0.7471 0.7449 0.7496
0.7493 0.2468 0.7495
0.4914 0.0013 0.0054
0.4915 0.4977 0.0047
0.0013 0.9923 0.5062
0.0039 0.4867 0.5086
0.2430 0.7457 0.7556
0.7471 0.7480 0.2586
0.7480 0.2455 0.2572
0.0092 0.5124 0.7480
0.0239 0.9669 0.7405
0.2250 0.2332 0.5057
0.2406 0.7251 0.5210
0.2463 0.7670 0.9958
0.2759 0.2351 0.0071
0.4715 0.5208 0.7685
0.4859 0.9791 0.7695
0.5070 0.0107 0.2454
0.5097 0.5105 0.2463
0.7182 0.7601 0.0181
0.7422 0.2299 0.0113
0.7554 0.2594 0.4968
0.7656 0.7526 0.4936
0.9812 0.9841 0.2681
0.9820 0.4821 0.2623
```

Peak list (8 most intense, 5° ≤ 2θ ≤ 70°, most intense first)
d/Å  I/Imax
4.788  100
2.141  30
2.035  25
2.023  25
1.475  22
2.565  16
2.451  12
2.445  11

=====

(2)
Structure and simulated powder XRD pattern of Li2V3CrO8 (a PBE+U-relaxed structure; Cu Kα, 1.54184 Å).

Structural model:
```
Li2V3CrO8
1.0
5.8962 0.0000 0.0000
2.9387 5.1899 0.0000
2.9230 1.7419 4.9325
Li V Cr O
2 3 1 8
Direct
0.0000 0.0000 0.0000
0.5000 0.5000 0.0000
0.0000 0.0000 0.5000
0.0000 0.5000 0.5000
0.5000 0.5000 0.5000
0.5000 0.0000 0.5000
0.2251 0.2332 0.2937
0.2316 0.7428 0.2808
0.2457 0.2679 0.7032
0.2615 0.7641 0.7158
0.7385 0.2359 0.2842
0.7543 0.7321 0.2968
0.7684 0.2572 0.7192
0.7749 0.7668 0.7063
```

Peak list (8 most intense, 5° ≤ 2θ ≤ 70°, most intense first)
d/Å  I/Imax
4.932  100
2.525  21
2.127  21
2.109  20
2.103  20
2.557  11
1.504  10
1.427  7

=====

(3)
Structure and simulated powder XRD pattern of Zn2Fe9O13 (a PBE+U-relaxed structure; Cu Kα, 1.54184 Å).

Structural model:
```
Zn2Fe9O13
1.0
5.0549 -1.4926 0.0000
5.0549 1.4926 0.0000
-2.5015 0.0000 17.0587
Zn Fe O
2 9 13
Direct
0.2109 0.2109 0.2297
0.7891 0.7891 0.7703
0.0149 0.0149 0.6755
0.0667 0.0667 0.8690
0.2518 0.2518 0.5839
0.3511 0.3511 0.9559
0.5000 0.5000 0.5000
0.6489 0.6489 0.0441
0.7482 0.7482 0.4161
0.9333 0.9333 0.1310
0.9851 0.9851 0.3245
0.0000 0.0000 0.0000
0.1423 0.1423 0.4627
0.1499 0.1499 0.7714
0.2879 0.2879 0.0655
0.3667 0.3667 0.6848
0.3784 0.3784 0.3939
0.4127 0.4127 0.8550
0.5873 0.5873 0.1450
0.6216 0.6216 0.6061
0.6333 0.6333 0.3152
0.7121 0.7121 0.9345
0.8501 0.8501 0.2286
0.8577 0.8577 0.5373
```

Peak list (8 most intense, 5° ≤ 2θ ≤ 70°, most intense first)
d/Å  I/Imax
2.644  100
2.143  38
2.527  27
2.179  24
2.103  23
2.330  20
2.514  20
1.493  19

=====

(4)
Structure and simulated powder XRD pattern of Co6OF11 (a PBE+U-relaxed structure; Cu Kα, 1.54184 Å).

Structural model:
```
Co6OF11
1.0
9.5903 0.0000 0.0000
0.0000 3.3808 3.3043
0.0000 -3.3808 3.3043
Co O F
6 1 11
Direct
0.0000 0.0000 0.0000
0.1599 0.5370 0.5370
0.3323 0.0349 0.0349
0.5000 0.5342 0.5342
0.6677 0.0349 0.0349
0.8401 0.5370 0.5370
0.0000 0.7317 0.7317
0.0000 0.3144 0.3144
0.1638 0.2253 0.8360
0.1638 0.8360 0.2253
0.3301 0.3394 0.3394
0.3319 0.7301 0.7301
0.5000 0.2313 0.8387
0.5000 0.8387 0.2313
0.6681 0.7301 0.7301
0.6699 0.3394 0.3394
0.8362 0.2253 0.8360
0.8362 0.8360 0.2253
```

Peak list (8 most intense, 5° ≤ 2θ ≤ 70°, most intense first)
d/Å  I/Imax
2.648  100
3.381  89
3.304  82
1.774  61
1.752  52
1.413  40
1.598  19
2.297  17

=====

(5)
Structure and simulated powder XRD pattern of MgCo2B2O6 (a PBE+U-relaxed structure; Cu Kα, 1.54184 Å).

Structural model:
```
MgCo2B2O6
1.0
5.0733 0.0000 0.0000
2.4774 4.4518 0.0000
1.1579 1.7865 6.1565
Mg Co B O
1 2 2 6
Direct
0.0000 0.0000 0.0000
0.3510 0.4209 0.8088
0.6629 0.1509 0.4492
0.3179 0.8570 0.3750
0.6889 0.7048 0.8766
0.0381 0.9294 0.3079
0.4113 0.7083 0.9183
0.4186 0.0737 0.3121
0.4829 0.5531 0.5086
0.7109 0.9836 0.8299
0.9514 0.4314 0.8800
```

Peak list (8 most intense, 5° ≤ 2θ ≤ 70°, most intense first)
d/Å  I/Imax
4.188  100
3.078  93
3.127  73
3.637  63
2.491  55
4.065  44
2.477  43
4.432  41